# La2Ge3
Theoretical powder X-ray diffraction pattern, CuKα. Input: DFT lattice parameters and positions (GGA-PBE).
No peak broadening, texture or thermal motion is included.

Structure:
Lattice parameters (Å, degrees): 4.171 4.314 14.684 90.00 90.00 90.00
Space group Imm2 (No. 44)
Unique sites:
La1 0.000 0.000 0.000 (multiplicity 2)
La2 0.000 0.500 0.250 (multiplicity 2)
Ge1 0.000 0.000 0.423 (multiplicity 2)
Ge2 0.000 0.000 0.592 (multiplicity 2)
Ge3 0.000 0.500 0.822 (multiplicity 2)

Peak list (6 most intense, 15° ≤ 2θ ≤ 90°, by angle)
- 2θ 27.56, d = 3.236 Å, I = 29, hkl 0 1 3
- 2θ 32.25, d = 2.776 Å, I = 100, hkl 1 1 2
- 2θ 37.45, d = 2.401 Å, I = 32, hkl 1 0 5
- 2θ 41.89, d = 2.157 Å, I = 19, hkl 0 2 0
- 2θ 43.39, d = 2.085 Å, I = 17, hkl 2 0 0
- 2θ 57.43, d = 1.605 Å, I = 18, hkl 1 2 5